Theoretical powder X-ray diffraction pattern of Gd2AgHg for Cu Kα (λ = 1.5418 Å), from a cell relaxed with GGA-PBE.
No peak broadening, texture or thermal motion is included.

Most intense lines, 2θ from 10° to 80°, low angle first:
hkl 1 1 1, d = 4.299 Å, intensity 4.2
hkl 2 2 0, d = 2.632 Å, intensity 100.0
hkl 3 1 1, d = 2.245 Å, intensity 2.6
hkl 4 0 0, d = 1.861 Å, intensity 18.0
hkl 3 3 1, d = 1.708 Å, intensity 1.2
hkl 4 2 2, d = 1.520 Å, intensity 37.2
hkl 5 1 1, d = 1.433 Å, intensity 1.0
hkl 4 4 0, d = 1.316 Å, intensity 11.5
hkl 5 3 1, d = 1.258 Å, intensity 1.0

Cell and atoms:
```
Gd2AgHg
1.0
7.445 0.000 0.000
0.000 7.445 0.000
0.000 0.000 7.445
Gd Ag Hg
8 4 4
direct
0.250 0.250 0.250
0.250 0.250 0.750
0.250 0.750 0.250
0.250 0.750 0.750
0.750 0.250 0.250
0.750 0.250 0.750
0.750 0.750 0.250
0.750 0.750 0.750
0.000 0.000 0.000
0.000 0.500 0.500
0.500 0.000 0.500
0.500 0.500 0.000
0.000 0.000 0.500
0.000 0.500 0.000
0.500 0.000 0.000
0.500 0.500 0.500
```